# 1
Structure and computed XRD peak list of Ba3Pb (DFT lattice parameters and positions (GGA-PBE); CuKα).

Crystal structure
```
data_Ba3Pb
_symmetry_space_group_name_H-M 'P -6 m 2'
_symmetry_Int_Tables_number 187
_symmetry_space_group_name_Hall 'P -6 2'
_cell_length_a 4.5386
_cell_length_b 4.5386
_cell_length_c 12.6452
_cell_angle_alpha 90.00
_cell_angle_beta 90.00
_cell_angle_gamma 120.00
loop_
_atom_site_label
_atom_site_type_symbol
_atom_site_fract_x
_atom_site_fract_y
_atom_site_fract_z
Ba1 Ba 0.0000 0.0000 0.0000
Ba2 Ba 0.3333 0.6667 0.3060
Pb1 Pb 0.0000 0.0000 0.5000
```

Principal peaks in the range 2θ from 5° to 70°, in order of rising 2θ:
Position (°2θ)	Rel. int.	hkl
6.99	36.6	0 0 1
22.62	31.8	1 0 0
26.71	100.0	1 0 2
31.11	22.9	1 0 3
36.47	20.3	1 0 4
39.72	28.5	1 1 0
48.51	19.7	2 0 2
49.44	12.2	1 1 4
59.90	10.7	1 1 6
64.43	17.1	2 1 2


# 2
Structure and computed XRD peak list of NdHoCd (DFT lattice parameters and positions (GGA-PBE); CuKα).

Crystal structure
```
data_NdHoCd
_symmetry_space_group_name_H-M 'C m c m'
_symmetry_Int_Tables_number 63
_symmetry_space_group_name_Hall '-C 2c 2'
_cell_length_a 3.7208
_cell_length_b 17.1436
_cell_length_c 5.5418
_cell_angle_alpha 90.00
_cell_angle_beta 90.00
_cell_angle_gamma 90.00
loop_
_atom_site_label
_atom_site_type_symbol
_atom_site_fract_x
_atom_site_fract_y
_atom_site_fract_z
Nd1 Nd 0.0000 0.0868 0.2500
Ho1 Ho 0.0000 0.2277 0.7500
Cd1 Cd 0.0000 0.4252 0.2500
```

Principal peaks in the range 2θ from 5° to 70°, in order of rising 2θ:
Position (°2θ)	Rel. int.	hkl
31.31	22.6	0 6 0
32.31	28.5	0 0 2
32.96	100.0	1 3 1
35.34	7.8	0 6 1
45.61	15.9	0 6 2
48.96	8.8	2 0 0
56.78	10.8	1 9 1
58.03	19.5	1 3 3
59.88	9.6	2 0 2
69.14	9.0	2 6 2